(1)
For PmHgPO4, a GGA-PBE-relaxed structure gives the calculated PXRD pattern in this record (λ = 1.5418 Å (Cu Kα)).

The 10 most intense peaks (2θ = 10–80°), by intensity:
| 2θ (°) | I/Imax |
| --- | --- |
| 28.10 | 100.0 |
| 27.32 | 80.8 |
| 32.79 | 59.9 |
| 27.03 | 56.8 |
| 36.01 | 49.2 |
| 38.81 | 41.0 |
| 15.82 | 40.6 |
| 33.19 | 33.8 |
| 19.14 | 27.1 |
| 29.21 | 25.9 |

Cell and atoms:
```
data_PmHgPO4
_symmetry_space_group_name_H-M 'P 1'
_symmetry_Int_Tables_number 1
_symmetry_space_group_name_Hall 'P 1'
_cell_length_a 6.434
_cell_length_b 6.434
_cell_length_c 6.709
_cell_angle_alpha 98.99
_cell_angle_beta 98.99
_cell_angle_gamma 60.99
loop_
_atom_site_label
_atom_site_type_symbol
_atom_site_fract_x
_atom_site_fract_y
_atom_site_fract_z
Pm1 Pm 0.207 0.207 0.327
Pm2 Pm 0.793 0.793 0.673
Hg1 Hg 0.473 0.473 0.761
Hg2 Hg 0.527 0.527 0.239
P1 P 0.140 0.140 0.765
P2 P 0.860 0.860 0.235
O1 O 0.000 0.000 0.256
O2 O 0.000 0.000 0.744
O3 O 0.005 0.630 0.354
O4 O 0.204 0.204 0.987
O5 O 0.370 0.995 0.646
O6 O 0.630 0.005 0.354
O7 O 0.796 0.796 0.013
O8 O 0.995 0.370 0.646
```

=====

(2)
For HgSbP2O8, a GGA-PBE-relaxed structure gives the calculated PXRD pattern in this record (λ = 1.5418 Å (Cu Kα)).

The 10 most intense peaks (2θ = 10–80°), by intensity:
| 2θ (°) | I/Imax |
| --- | --- |
| 19.35 | 100.0 |
| 29.17 | 76.7 |
| 31.51 | 52.5 |
| 21.11 | 36.5 |
| 40.51 | 35.0 |
| 35.97 | 34.2 |
| 21.79 | 29.9 |
| 32.73 | 25.0 |
| 23.17 | 22.9 |
| 44.42 | 18.1 |

Cell and atoms:
```
data_HgSbP2O8
_symmetry_space_group_name_H-M 'P 1'
_symmetry_Int_Tables_number 1
_symmetry_space_group_name_Hall 'P 1'
_cell_length_a 5.055
_cell_length_b 5.055
_cell_length_c 7.756
_cell_angle_alpha 96.81
_cell_angle_beta 96.81
_cell_angle_gamma 65.55
loop_
_atom_site_label
_atom_site_type_symbol
_atom_site_fract_x
_atom_site_fract_y
_atom_site_fract_z
Hg1 Hg 0.000 0.000 0.000
Sb1 Sb 0.000 0.000 0.500
P1 P 0.333 0.333 0.285
P2 P 0.667 0.667 0.715
O1 O 0.212 0.674 0.300
O2 O 0.233 0.233 0.436
O3 O 0.239 0.239 0.099
O4 O 0.326 0.788 0.700
O5 O 0.674 0.212 0.300
O6 O 0.761 0.761 0.901
O7 O 0.767 0.767 0.564
O8 O 0.788 0.326 0.700
```